Entry 1:
LiCeH6Ru: computed powder diffractogram (λ = 1.5418 Å (Cu Kα)), based on a GGA-PBE-relaxed structure.

Structure:
```
data_LiCeH6Ru
_cell_length_a 4.5679
_cell_length_b 4.5679
_cell_length_c 4.3941
_cell_angle_alpha 90.00
_cell_angle_beta 90.00
_cell_angle_gamma 120.00
_space_group_name_H-M_alt 'P -6 m 2'
_space_group_IT_number 187
_space_group_name_Hall 'P -6 2'
loop_
_atom_site_label
_atom_site_type_symbol
_atom_site_fract_x
_atom_site_fract_y
_atom_site_fract_z
Li1 Li 0.0000 0.0000 0.0000
Ce1 Ce 0.6667 0.3333 0.5000
H1 H 0.1782 0.3565 0.2686
Ru1 Ru 0.3333 0.6667 0.0000
```

Top 12 peaks for 10° ≤ 2θ ≤ 80°, by angle:
| 2theta | I_rel |
| --- | --- |
| 22.48 | 34 |
| 30.40 | 100 |
| 39.45 | 33 |
| 41.08 | 9 |
| 45.88 | 6 |
| 47.33 | 10 |
| 50.61 | 24 |
| 58.27 | 22 |
| 66.00 | 21 |
| 68.28 | 10 |
| 71.55 | 6 |
| 77.17 | 5 |

***

Entry 2:
LiCeTcH6: computed powder diffractogram (λ = 1.5418 Å (Cu Kα)), based on a GGA-PBE-relaxed structure.

Structure:
```
data_LiCeTcH6
_cell_length_a 4.5635
_cell_length_b 4.5635
_cell_length_c 4.4633
_cell_angle_alpha 90.00
_cell_angle_beta 90.00
_cell_angle_gamma 120.00
_space_group_name_H-M_alt 'P -6 m 2'
_space_group_IT_number 187
_space_group_name_Hall 'P -6 2'
loop_
_atom_site_label
_atom_site_type_symbol
_atom_site_fract_x
_atom_site_fract_y
_atom_site_fract_z
Li1 Li 0.0000 0.0000 0.0000
Ce1 Ce 0.3333 0.6667 0.5000
Tc1 Tc 0.6667 0.3333 0.0000
H1 H 0.3505 0.1753 0.2704
```

Top 12 peaks for 10° ≤ 2θ ≤ 80°, by angle:
| 2theta | I_rel |
| --- | --- |
| 22.50 | 33 |
| 30.20 | 100 |
| 39.49 | 32 |
| 40.42 | 10 |
| 45.93 | 6 |
| 46.75 | 10 |
| 50.51 | 24 |
| 57.79 | 22 |
| 65.94 | 21 |
| 67.24 | 10 |
| 71.63 | 6 |
| 76.78 | 5 |

***

Entry 3:
Ce2LuH: computed powder diffractogram (λ = 1.5418 Å (Cu Kα)), based on a GGA-PBE-relaxed structure.

Structure:
```
data_Ce2LuH
_cell_length_a 3.4135
_cell_length_b 3.4135
_cell_length_c 26.6310
_cell_angle_alpha 90.00
_cell_angle_beta 90.00
_cell_angle_gamma 120.00
_space_group_name_H-M_alt 'R -3 m'
_space_group_IT_number 166
_space_group_name_Hall '-R 3 2"'
loop_
_atom_site_label
_atom_site_type_symbol
_atom_site_fract_x
_atom_site_fract_y
_atom_site_fract_z
Ce1 Ce 0.0000 0.0000 0.2239
Lu1 Lu 0.0000 0.0000 0.0000
H1 H 0.0000 0.0000 0.5000
```

Top 12 peaks for 10° ≤ 2θ ≤ 80°, by angle:
| 2theta | I_rel |
| --- | --- |
| 30.20 | 55 |
| 30.42 | 38 |
| 33.16 | 100 |
| 34.71 | 80 |
| 40.82 | 22 |
| 45.86 | 10 |
| 53.70 | 33 |
| 54.50 | 26 |
| 57.62 | 17 |
| 62.85 | 48 |
| 64.59 | 15 |
| 65.54 | 13 |

***

Entry 4:
CeMgNi2H8: computed powder diffractogram (λ = 1.5418 Å (Cu Kα)), based on a GGA-PBE-relaxed structure.

Structure:
```
data_CeMgNi2H8
_cell_length_a 4.5893
_cell_length_b 4.5893
_cell_length_c 16.9626
_cell_angle_alpha 90.00
_cell_angle_beta 90.00
_cell_angle_gamma 120.00
_space_group_name_H-M_alt 'R -3'
_space_group_IT_number 148
_space_group_name_Hall '-R 3'
loop_
_atom_site_label
_atom_site_type_symbol
_atom_site_fract_x
_atom_site_fract_y
_atom_site_fract_z
Ce1 Ce 0.0000 0.0000 0.0000
Mg1 Mg 0.0000 0.0000 0.5000
Ni1 Ni 0.0000 0.0000 0.2279
H1 H 0.0000 0.0000 0.3192
H2 H 0.0135 0.7091 0.8935
```

Top 12 peaks for 10° ≤ 2θ ≤ 80°, by angle:
| 2theta | I_rel |
| --- | --- |
| 22.98 | 48 |
| 30.83 | 100 |
| 34.77 | 36 |
| 39.26 | 59 |
| 48.67 | 18 |
| 50.73 | 24 |
| 53.44 | 11 |
| 63.92 | 17 |
| 65.97 | 21 |
| 68.29 | 10 |
| 71.17 | 10 |
| 77.94 | 9 |